Entry 1:
# LaPu3
Calculated powder diffractogram, Cu Ka. Input: a GGA-PBE-relaxed structure.

The 12 most intense peaks (2θ = 5–70°), by angle:
index	2theta	I_rel
0 0 2	18.0	1
1 0 1	20.2	4
1 1 2	31.5	100
1 0 3	32.8	1
0 0 4	36.5	17
2 0 0	36.6	34
2 1 1	42.2	1
2 0 4	52.6	24
2 2 0	52.8	12
1 1 6	62.5	15
3 1 2	62.8	29
2 2 4	65.8	13

```
LaPu3
1.0
4.908 0.000 0.000
0.000 4.908 0.000
0.000 0.000 9.860
La Pu
2 6
Cartesian
0.000 0.000 0.000
2.454 2.454 4.930
0.000 0.000 4.930
0.000 2.454 2.465
0.000 2.454 7.395
2.454 0.000 2.465
2.454 0.000 7.395
2.454 2.454 0.000
```



Entry 2:
# Be3Si
Calculated powder diffractogram, Cu Ka. Input: a GGA-PBE-relaxed structure.

The 10 most intense peaks (2θ = 5–70°), by angle:
index	2theta	I_rel
0 0 2	26.0	30
1 0 1	29.3	88
1 1 0	37.3	22
1 1 2	46.0	100
1 0 3	48.0	21
0 0 4	53.5	16
2 0 0	53.7	31
2 0 2	60.7	10
2 1 1	62.4	19
1 1 4	67.0	8

```
Be3Si
1.0
3.411 0.000 0.000
0.000 3.411 0.000
0.000 0.000 6.846
Be Si
6 2
Cartesian
0.000 0.000 0.000
0.000 1.706 1.712
0.000 1.706 5.135
1.706 0.000 1.712
1.706 0.000 5.135
1.706 1.706 3.423
0.000 0.000 3.423
1.706 1.706 0.000
```